Entry 1:
Theoretical XRD peak list of RbSnF3 for a wavelength of 1.5418 Å, from a PBE-relaxed structure.
Intensities are scaled so that the largest is 100.

```
data_RbSnF3
_chemical_formula_sum 'Rb1 Sn1 F3'
_cell_length_a 4.6099
_cell_length_b 4.6393
_cell_length_c 5.3003
_cell_angle_alpha 83.32
_cell_angle_beta 85.56
_cell_angle_gamma 89.56
_space_group_name_H-M_alt 'P 1'
_space_group_IT_number 1
loop_
_space_group_symop_operation_xyz
'x,y,z'
loop_
_atom_site_label
_atom_site_fract_x
_atom_site_fract_y
_atom_site_fract_z
Rb1 0.0000 0.0000 0.0000
Sn1 0.5310 0.5485 0.5702
F1 0.0481 0.5368 0.6485
F2 0.5117 0.5204 0.9687
F3 0.5272 0.0734 0.6510
```

Principal peaks in the range 15 to 90 degrees two-theta, most intense first:
two_theta	intensity
27.41	100.0
24.18	64.1
24.75	61.6
26.75	53.5
27.19	51.7
16.89	40.6

Entry 2:
Theoretical XRD peak list of NdCl2 for a wavelength of 1.5418 Å, from a PBE-relaxed structure.
Intensities are scaled so that the largest is 100.

```
data_NdCl2
_chemical_formula_sum 'Nd2 Cl4'
_cell_length_a 7.1613
_cell_length_b 7.1613
_cell_length_c 3.5944
_cell_angle_alpha 90.00
_cell_angle_beta 90.00
_cell_angle_gamma 90.00
_space_group_name_H-M_alt 'P 42/m n m'
_space_group_IT_number 136
_space_group_name_Hall '-P 4n 2n'
loop_
_atom_site_label
_atom_site_fract_x
_atom_site_fract_y
_atom_site_fract_z
Nd1 0.0000 0.0000 0.0000
Cl1 0.2198 0.2198 0.5000
```

Principal peaks in the range 15 to 90 degrees two-theta, most intense first:
two_theta	intensity
17.51	100.0
37.62	66.6
27.77	53.8
35.45	33.7
45.62	26.0
39.81	21.9